# 1
HoErScZn: simulated X-ray powder pattern (Cu Kα (weighted mean of Kα1 and Kα2)), based on a DFT-relaxed cell (PBE, Alexandria).

Cell: 7.3278 7.3278 7.3278 Å, 90.00 90.00 90.00°
Space group F-43m (No. 216)
Asymmetric unit:
Ho1 0.0000 0.0000 0.0000 [4 per cell]
Er1 0.0000 0.0000 0.5000 [4 per cell]
Sc1 0.2500 0.2500 0.7500 [4 per cell]
Zn1 0.2500 0.2500 0.2500 [4 per cell]

Principal peaks in the range 10 to 90 degrees two-theta, low angle first:
2θ 21.0, d 4.231, intensity 0.8, hkl 1 1 1; 2θ 24.3, d 3.664, intensity 27.5, hkl 2 0 0; 2θ 34.6, d 2.591, intensity 100.0, hkl 2 2 0; 2θ 42.7, d 2.115, intensity 8.6, hkl 2 2 2; 2θ 49.8, d 1.832, intensity 17.7, hkl 4 0 0; 2θ 56.1, d 1.639, intensity 12.0, hkl 4 2 0; 2θ 62.0, d 1.496, intensity 36.2, hkl 4 2 2; 2θ 73.0, d 1.295, intensity 11.1, hkl 4 4 0; 2θ 78.3, d 1.221, intensity 6.0, hkl 6 0 0; 2θ 83.4, d 1.159, intensity 15.6, hkl 6 2 0; 2θ 88.5, d 1.105, intensity 3.7, hkl 6 2 2


# 2
Ho2Er4Se9: simulated X-ray powder pattern (Cu Kα (weighted mean of Kα1 and Kα2)), based on a DFT-relaxed cell (PBE, Alexandria).

Cell: 7.1423 7.1446 19.3740 Å, 89.99 89.97 60.03°
Space group P-1 (No. 2)
Asymmetric unit:
Ho1 0.0003 0.0011 0.1523 [2 per cell]
Ho2 0.0011 0.9985 0.3475 [2 per cell]
Er1 0.3323 0.3337 0.8193 [2 per cell]
Er2 0.3330 0.3335 0.0140 [2 per cell]
Er3 0.3343 0.3332 0.3195 [2 per cell]
Er4 0.3339 0.3332 0.5137 [2 per cell]
Se1 0.0010 0.3066 0.2501 [2 per cell]
Se2 0.0272 0.6379 0.4169 [2 per cell]
Se3 0.0275 0.3333 0.9169 [2 per cell]
Se4 0.3064 0.9997 0.7501 [2 per cell]
Se5 0.3070 0.6927 0.2497 [2 per cell]
Se6 0.3352 0.0265 0.4166 [2 per cell]
Se7 0.3348 0.6376 0.9167 [2 per cell]
Se8 0.3606 0.6658 0.5834 [2 per cell]
Se9 0.3628 0.9723 0.0833 [2 per cell]

Principal peaks in the range 10 to 90 degrees two-theta, low angle first:
2θ 17.0, d 5.214, intensity 42.3, hkl 1 1 2; 2θ 23.3, d 3.814, intensity 55.2, hkl 1 1 -4; 2θ 24.9, d 3.572, intensity 40.7, hkl 2 1 0; 2θ 28.6, d 3.126, intensity 53.2, hkl 2 1 3; 2θ 34.4, d 2.607, intensity 34.4, hkl 0 2 -4; 2θ 37.5, d 2.395, intensity 100.0, hkl 1 2 6; 2θ 42.9, d 2.106, intensity 31.7, hkl 2 -1 4; 2θ 43.9, d 2.062, intensity 60.2, hkl 3 3 0; 2θ 49.3, d 1.849, intensity 17.6, hkl 1 0 10; 2θ 59.1, d 1.563, intensity 25.7, hkl 2 4 6; 2θ 62.2, d 1.492, intensity 13.5, hkl 2 3 -10; 2θ 76.5, d 1.246, intensity 22.4, hkl 4 5 6


# 3
HoEr3Se6: simulated X-ray powder pattern (Cu Kα (weighted mean of Kα1 and Kα2)), based on a DFT-relaxed cell (PBE, Alexandria).

Cell: 11.8784 11.8784 14.2176 Å, 90.00 90.00 120.00°
Space group R-3 (No. 148, hexagonal axes)
Asymmetric unit:
Ho1 0.0000 0.0000 0.0000 [3 per cell]
Ho2 0.0000 0.0000 0.5000 [3 per cell]
Er1 0.0530 0.7811 0.2016 [18 per cell]
Se1 0.0182 0.8060 0.3959 [18 per cell]
Se2 0.0323 0.8371 0.8744 [18 per cell]

Principal peaks in the range 10 to 90 degrees two-theta, low angle first:
2θ 18.7, d 4.739, intensity 59.9, hkl 0 0 3; 2θ 21.3, d 4.167, intensity 41.0, hkl 2 0 2; 2θ 23.7, d 3.750, intensity 92.4, hkl 3 -1 1; 2θ 24.0, d 3.704, intensity 23.7, hkl 2 -1 3; 2θ 26.1, d 3.411, intensity 46.6, hkl 3 -2 2; 2θ 33.9, d 2.648, intensity 77.3, hkl 4 -1 2; 2θ 34.2, d 2.623, intensity 100.0, hkl 3 -1 4; 2θ 40.2, d 2.245, intensity 91.5, hkl 4 1 0; 2θ 40.5, d 2.225, intensity 21.3, hkl 4 -3 4; 2θ 41.0, d 2.201, intensity 43.0, hkl 1 1 6; 2θ 44.7, d 2.029, intensity 25.5, hkl 4 1 3; 2θ 45.0, d 2.014, intensity 23.0, hkl 3 1 5


# 4
Ho3Er2Se8: simulated X-ray powder pattern (Cu Kα (weighted mean of Kα1 and Kα2)), based on a DFT-relaxed cell (PBE, Alexandria).

Cell: 14.2038 8.1449 6.9437 Å, 90.00 109.46 90.00°
Space group C2/m (No. 12)
Asymmetric unit:
Ho1 0.0000 0.0000 0.0000 [2 per cell]
Ho2 0.0000 0.2613 0.5000 [4 per cell]
Er1 0.2429 0.5000 0.1628 [4 per cell]
Se1 0.1191 0.0000 0.4239 [4 per cell]
Se2 0.1194 0.5000 0.4047 [4 per cell]
Se3 0.1238 0.2399 0.9143 [8 per cell]

Principal peaks in the range 10 to 90 degrees two-theta, low angle first:
2θ 15.5, d 5.732, intensity 25.7, hkl 2 0 -1; 2θ 20.2, d 4.403, intensity 61.7, hkl 1 1 1; 2θ 22.8, d 3.901, intensity 47.7, hkl 3 1 -1; 2θ 25.6, d 3.480, intensity 32.8, hkl 2 2 0; 2θ 26.9, d 3.320, intensity 54.4, hkl 2 2 -1; 2θ 27.2, d 3.274, intensity 26.1, hkl 0 0 2; 2θ 33.8, d 2.650, intensity 100.0, hkl 4 2 -1; 2θ 34.3, d 2.617, intensity 49.2, hkl 2 0 2; 2θ 40.7, d 2.219, intensity 97.5, hkl 6 0 -2; 2θ 44.5, d 2.036, intensity 34.6, hkl 0 4 0; 2θ 45.1, d 2.012, intensity 67.8, hkl 2 2 -3; 2θ 61.8, d 1.501, intensity 22.9, hkl 6 4 -2


# 5
Ho3Er2Se6: simulated X-ray powder pattern (Cu Kα (weighted mean of Kα1 and Kα2)), based on a DFT-relaxed cell (PBE, Alexandria).

Cell: 6.9969 12.0607 6.9684 Å, 90.00 109.50 90.00°
Space group C2/m (No. 12)
Asymmetric unit:
Ho1 0.0000 0.0000 0.0000 [2 per cell]
Ho2 0.0000 0.3347 0.0000 [4 per cell]
Er1 0.0000 0.1650 0.5000 [4 per cell]
Se1 0.2463 0.3354 0.7458 [8 per cell]
Se2 0.2462 0.5000 0.2572 [4 per cell]

Principal peaks in the range 10 to 90 degrees two-theta, low angle first:
2θ 27.1, d 3.285, intensity 9.8, hkl 0 0 2; 2θ 31.4, d 2.848, intensity 100.0, hkl 1 3 1; 2θ 45.0, d 2.017, intensity 37.0, hkl 2 0 2; 2θ 45.1, d 2.011, intensity 36.7, hkl 0 6 0; 2θ 55.7, d 1.649, intensity 7.0, hkl 4 0 0; 2θ 56.0, d 1.643, intensity 19.3, hkl 0 0 4; 2θ 65.6, d 1.423, intensity 7.9, hkl 2 6 2; 2θ 74.3, d 1.276, intensity 5.8, hkl 5 3 -3; 2θ 74.4, d 1.274, intensity 11.1, hkl 4 6 0; 2θ 74.6, d 1.272, intensity 10.9, hkl 0 6 4; 2θ 83.1, d 1.162, intensity 8.3, hkl 3 9 -1; 2θ 83.2, d 1.161, intensity 10.4, hkl 1 3 5


# 6
Ho4ErSe7: simulated X-ray powder pattern (Cu Kα (weighted mean of Kα1 and Kα2)), based on a DFT-relaxed cell (PBE, Alexandria).

Cell: 13.3116 3.9477 12.1428 Å, 90.00 104.39 90.00°
Space group Cm (No. 8)
Asymmetric unit:
Ho1 0.0000 0.0000 0.0000 [2 per cell]
Ho2 0.0878 0.5000 0.3903 [2 per cell]
Ho3 0.1871 0.0000 0.7653 [2 per cell]
Ho4 0.3873 0.5000 0.5773 [2 per cell]
Er1 0.2744 0.5000 0.1554 [2 per cell]
Se1 0.0471 0.5000 0.6280 [2 per cell]
Se2 0.1293 0.5000 0.9303 [2 per cell]
Se3 0.1464 0.0000 0.2253 [2 per cell]
Se4 0.2276 0.0000 0.5274 [2 per cell]
Se5 0.3475 0.5000 0.7930 [2 per cell]
Se6 0.3866 0.0000 0.0778 [2 per cell]
Se7 0.4270 0.5000 0.3614 [2 per cell]

Principal peaks in the range 10 to 90 degrees two-theta, low angle first:
2θ 22.9, d 3.890, intensity 93.8, hkl 2 0 2; 2θ 23.4, d 3.795, intensity 74.1, hkl 2 0 -3; 2θ 30.4, d 2.940, intensity 77.9, hkl 3 1 -1; 2θ 30.8, d 2.907, intensity 42.8, hkl 3 1 0; 2θ 32.0, d 2.800, intensity 100.0, hkl 3 1 -2; 2θ 33.0, d 2.718, intensity 75.7, hkl 3 1 1; 2θ 35.2, d 2.549, intensity 39.0, hkl 3 1 -3; 2θ 37.4, d 2.407, intensity 50.8, hkl 1 1 -4; 2θ 40.2, d 2.242, intensity 53.8, hkl 1 1 4; 2θ 44.7, d 2.027, intensity 37.0, hkl 6 0 1; 2θ 45.7, d 1.986, intensity 43.9, hkl 6 0 -4; 2θ 46.0, d 1.974, intensity 59.2, hkl 0 2 0


# 7
SmHo3Er3Se8: simulated X-ray powder pattern (Cu Kα (weighted mean of Kα1 and Kα2)), based on a DFT-relaxed cell (PBE, Alexandria).

Cell: 8.0784 8.0784 19.7897 Å, 90.00 90.00 120.00°
Space group R-3m (No. 166, hexagonal axes)
Asymmetric unit:
Sm1 0.0000 0.0000 0.0000 [3 per cell]
Ho1 0.0000 0.5000 0.5000 [9 per cell]
Er1 0.0000 0.5000 0.0000 [9 per cell]
Se1 0.0000 0.0000 0.2506 [6 per cell]
Se2 0.0127 0.5063 0.2474 [18 per cell]

Principal peaks in the range 10 to 90 degrees two-theta, low angle first:
2θ 13.4, d 6.596, intensity 4.8, hkl 0 0 3; 2θ 15.5, d 5.712, intensity 5.4, hkl 0 1 2; 2θ 22.0, d 4.039, intensity 4.8, hkl 1 0 4; 2θ 25.9, d 3.445, intensity 5.3, hkl 0 2 1; 2θ 27.0, d 3.298, intensity 15.1, hkl 2 0 2; 2θ 31.3, d 2.856, intensity 100.0, hkl 0 2 4; 2θ 44.9, d 2.020, intensity 73.6, hkl 2 0 8; 2θ 53.2, d 1.722, intensity 7.8, hkl 0 4 2; 2θ 55.7, d 1.649, intensity 25.7, hkl 0 0 12; 2θ 65.3, d 1.428, intensity 11.9, hkl 0 4 8; 2θ 74.2, d 1.277, intensity 32.6, hkl 2 2 12; 2θ 82.8, d 1.166, intensity 24.6, hkl 0 2 16


# 8
Tb2HoErSe5: simulated X-ray powder pattern (Cu Kα (weighted mean of Kα1 and Kα2)), based on a DFT-relaxed cell (PBE, Alexandria).

Cell: 5.1097 5.1097 10.6690 Å, 90.00 90.00 90.00°
Space group P4/mmm (No. 123)
Asymmetric unit:
Tb1 0.0000 0.0000 0.1636 [2 per cell]
Ho1 0.5000 0.5000 0.5000 [1 per cell]
Er1 0.5000 0.5000 0.0000 [1 per cell]
Se1 0.0000 0.0000 0.5000 [1 per cell]
Se2 0.0000 0.5000 0.0000 [2 per cell]
Se3 0.5000 0.5000 0.2535 [2 per cell]

Principal peaks in the range 10 to 90 degrees two-theta, low angle first:
2θ 16.6, d 5.335, intensity 16.6, hkl 0 0 2; 2θ 24.1, d 3.690, intensity 21.7, hkl 1 0 2; 2θ 24.6, d 3.613, intensity 100.0, hkl 1 1 0; 2θ 30.6, d 2.919, intensity 36.6, hkl 1 0 3; 2θ 35.1, d 2.555, intensity 83.1, hkl 2 0 0; 2θ 35.4, d 2.535, intensity 43.8, hkl 1 1 3; 2θ 38.1, d 2.364, intensity 42.2, hkl 1 0 4; 2θ 47.3, d 1.922, intensity 22.0, hkl 2 1 3; 2θ 49.4, d 1.845, intensity 17.3, hkl 2 0 4; 2θ 50.5, d 1.807, intensity 29.5, hkl 2 2 0; 2θ 52.8, d 1.735, intensity 33.0, hkl 2 1 4; 2θ 57.0, d 1.616, intensity 19.9, hkl 3 1 0


Repeat the first record exactly.
HoErScZn: simulated X-ray powder pattern (Cu Kα (weighted mean of Kα1 and Kα2)), based on a DFT-relaxed cell (PBE, Alexandria).

Cell: 7.3278 7.3278 7.3278 Å, 90.00 90.00 90.00°
Space group F-43m (No. 216)
Asymmetric unit:
Ho1 0.0000 0.0000 0.0000 [4 per cell]
Er1 0.0000 0.0000 0.5000 [4 per cell]
Sc1 0.2500 0.2500 0.7500 [4 per cell]
Zn1 0.2500 0.2500 0.2500 [4 per cell]

Principal peaks in the range 10 to 90 degrees two-theta, low angle first:
2θ 21.0, d 4.231, intensity 0.8, hkl 1 1 1; 2θ 24.3, d 3.664, intensity 27.5, hkl 2 0 0; 2θ 34.6, d 2.591, intensity 100.0, hkl 2 2 0; 2θ 42.7, d 2.115, intensity 8.6, hkl 2 2 2; 2θ 49.8, d 1.832, intensity 17.7, hkl 4 0 0; 2θ 56.1, d 1.639, intensity 12.0, hkl 4 2 0; 2θ 62.0, d 1.496, intensity 36.2, hkl 4 2 2; 2θ 73.0, d 1.295, intensity 11.1, hkl 4 4 0; 2θ 78.3, d 1.221, intensity 6.0, hkl 6 0 0; 2θ 83.4, d 1.159, intensity 15.6, hkl 6 2 0; 2θ 88.5, d 1.105, intensity 3.7, hkl 6 2 2


Copy entry 6 word for word.
Ho4ErSe7: simulated X-ray powder pattern (Cu Kα (weighted mean of Kα1 and Kα2)), based on a DFT-relaxed cell (PBE, Alexandria).

Cell: 13.3116 3.9477 12.1428 Å, 90.00 104.39 90.00°
Space group Cm (No. 8)
Asymmetric unit:
Ho1 0.0000 0.0000 0.0000 [2 per cell]
Ho2 0.0878 0.5000 0.3903 [2 per cell]
Ho3 0.1871 0.0000 0.7653 [2 per cell]
Ho4 0.3873 0.5000 0.5773 [2 per cell]
Er1 0.2744 0.5000 0.1554 [2 per cell]
Se1 0.0471 0.5000 0.6280 [2 per cell]
Se2 0.1293 0.5000 0.9303 [2 per cell]
Se3 0.1464 0.0000 0.2253 [2 per cell]
Se4 0.2276 0.0000 0.5274 [2 per cell]
Se5 0.3475 0.5000 0.7930 [2 per cell]
Se6 0.3866 0.0000 0.0778 [2 per cell]
Se7 0.4270 0.5000 0.3614 [2 per cell]

Principal peaks in the range 10 to 90 degrees two-theta, low angle first:
2θ 22.9, d 3.890, intensity 93.8, hkl 2 0 2; 2θ 23.4, d 3.795, intensity 74.1, hkl 2 0 -3; 2θ 30.4, d 2.940, intensity 77.9, hkl 3 1 -1; 2θ 30.8, d 2.907, intensity 42.8, hkl 3 1 0; 2θ 32.0, d 2.800, intensity 100.0, hkl 3 1 -2; 2θ 33.0, d 2.718, intensity 75.7, hkl 3 1 1; 2θ 35.2, d 2.549, intensity 39.0, hkl 3 1 -3; 2θ 37.4, d 2.407, intensity 50.8, hkl 1 1 -4; 2θ 40.2, d 2.242, intensity 53.8, hkl 1 1 4; 2θ 44.7, d 2.027, intensity 37.0, hkl 6 0 1; 2θ 45.7, d 1.986, intensity 43.9, hkl 6 0 -4; 2θ 46.0, d 1.974, intensity 59.2, hkl 0 2 0